(1)
The following is a calculated XRD peak list of CeHoTm4S8. It was derived from a crystal structure in Alexandria, relaxed with GGA-PBE, using Cu Kα (weighted mean of Kα1 and Kα2).
Lines closer than 0.1° are merged.

Structural model:
abc: 8.033 8.033 8.033
angles: 59.85 59.85 59.85
Atoms (fractional coordinates):
Ce 0.000 0.000 0.000
Ho 0.625 0.625 0.625
Tm 0.126 0.625 0.625
Tm 0.251 0.251 0.251
Tm 0.625 0.126 0.625
Tm 0.625 0.625 0.126
S 0.381 0.381 0.855
S 0.381 0.855 0.381
S 0.383 0.383 0.383
S 0.413 0.864 0.864
S 0.855 0.381 0.381
S 0.862 0.862 0.862
S 0.864 0.413 0.864
S 0.864 0.864 0.413

Most intense lines, 10° ≤ 2θ ≤ 90°, most intense first:
2θ/deg	d/Å	I/Imax
26.05	3.421	100
41.36	2.183	33
45.15	2.008	28
45.26	2.004	28
22.16	4.012	25
31.54	2.837	20
62.95	1.476	18
27.22	3.276	16

(2)
The following is a calculated XRD peak list of Rb2Cd12AgAu3. It was derived from a crystal structure in Alexandria, relaxed with GGA-PBE, using Cu Kα (weighted mean of Kα1 and Kα2).
Lines closer than 0.1° are merged.

Structural model:
abc: 9.271 9.271 9.271
angles: 62.89 62.89 62.89
Atoms (fractional coordinates):
Rb 0.102 0.102 0.102
Rb 0.898 0.898 0.898
Cd 0.148 0.616 0.616
Cd 0.162 0.162 0.502
Cd 0.162 0.502 0.162
Cd 0.384 0.384 0.852
Cd 0.384 0.852 0.384
Cd 0.498 0.838 0.838
Cd 0.502 0.162 0.162
Cd 0.616 0.148 0.616
Cd 0.616 0.616 0.148
Cd 0.838 0.498 0.838
Cd 0.838 0.838 0.498
Cd 0.852 0.384 0.384
Ag 0.500 0.500 0.500
Au 0.000 0.500 0.500
Au 0.500 0.000 0.500
Au 0.500 0.500 0.000

Most intense lines, 10° ≤ 2θ ≤ 90°, most intense first:
2θ/deg	d/Å	I/Imax
22.68	3.921	100
38.94	2.313	94
37.18	2.418	65
11.29	7.837	58
21.59	4.116	55
43.39	2.085	45
40.25	2.241	39
34.33	2.612	36

(3)
The following is a calculated XRD peak list of Na6ZnCd23. It was derived from a crystal structure in Alexandria, relaxed with GGA-PBE, using Cu Kα (weighted mean of Kα1 and Kα2).
Lines closer than 0.1° are merged.

Structural model:
abc: 10.029 10.029 10.029
angles: 60.00 60.00 60.00
Atoms (fractional coordinates):
Na 0.223 0.223 0.777
Na 0.223 0.777 0.223
Na 0.223 0.777 0.777
Na 0.777 0.223 0.223
Na 0.777 0.223 0.777
Na 0.777 0.777 0.223
Zn 0.000 0.000 0.000
Cd 0.000 0.000 0.500
Cd 0.000 0.500 0.000
Cd 0.000 0.500 0.500
Cd 0.131 0.623 0.623
Cd 0.150 0.150 0.150
Cd 0.150 0.150 0.550
Cd 0.150 0.550 0.150
Cd 0.377 0.377 0.377
Cd 0.377 0.377 0.869
Cd 0.377 0.869 0.377
Cd 0.450 0.850 0.850
Cd 0.500 0.000 0.000
Cd 0.500 0.000 0.500
Cd 0.500 0.500 0.000
Cd 0.500 0.500 0.500
Cd 0.550 0.150 0.150
Cd 0.623 0.131 0.623
Cd 0.623 0.623 0.131
Cd 0.623 0.623 0.623
Cd 0.850 0.450 0.850
Cd 0.850 0.850 0.450
Cd 0.850 0.850 0.850
Cd 0.869 0.377 0.377

Most intense lines, 10° ≤ 2θ ≤ 90°, most intense first:
2θ/deg	d/Å	I/Imax
35.82	2.507	100
64.36	1.448	22
21.71	4.094	19
42.27	2.138	14
51.55	1.773	13
32.81	2.729	10
25.12	3.546	8
37.52	2.397	7

(4)
The following is a calculated XRD peak list of RbNa2Te4As. It was derived from a crystal structure in Alexandria, relaxed with GGA-PBE, using Cu Kα (weighted mean of Kα1 and Kα2).
Lines closer than 0.1° are merged.

Structural model:
abc: 9.428 9.428 9.428
angles: 131.52 111.96 87.89
Atoms (fractional coordinates):
Rb 0.000 0.000 0.000
Rb 0.500 0.000 0.500
Na 0.000 0.500 0.500
Na 0.500 0.000 0.000
Na 0.500 0.500 0.000
Na 0.500 0.500 0.500
Te 0.210 0.745 0.464
Te 0.219 0.255 0.964
Te 0.219 0.281 0.562
Te 0.219 0.658 0.938
Te 0.781 0.342 0.062
Te 0.781 0.719 0.438
Te 0.781 0.745 0.036
Te 0.790 0.255 0.536
As 0.000 0.000 0.500
As 0.000 0.500 0.000

Most intense lines, 10° ≤ 2θ ≤ 90°, most intense first:
2θ/deg	d/Å	I/Imax
28.60	3.121	100
39.21	2.297	71
26.26	3.394	68
10.62	8.330	63
21.36	4.159	56
43.44	2.083	34
33.99	2.637	32
35.10	2.556	18

(5)
The following is a calculated XRD peak list of SnTeSeI2. It was derived from a crystal structure in Alexandria, relaxed with GGA-PBE, using Cu Kα (weighted mean of Kα1 and Kα2).
Lines closer than 0.1° are merged.

Structural model:
abc: 6.000 6.000 5.924
angles: 90.00 90.00 90.00
Atoms (fractional coordinates):
Sn 0.000 0.000 0.000
Te 0.000 0.000 0.500
Se 0.500 0.500 0.500
I 0.000 0.500 0.000
I 0.500 0.000 0.000

Most intense lines, 10° ≤ 2θ ≤ 90°, most intense first:
2θ/deg	d/Å	I/Imax
29.78	3.000	100
25.83	3.450	98
42.91	2.108	73
30.17	2.962	48
14.76	6.000	43
53.10	1.725	39
42.62	2.121	37
50.51	1.807	30

(6)
The following is a calculated XRD peak list of TbCePm2Sm. It was derived from a crystal structure in Alexandria, relaxed with GGA-PBE, using Cu Kα (weighted mean of Kα1 and Kα2).
Lines closer than 0.1° are merged.

Structural model:
abc: 6.004 7.977 7.016
angles: 90.00 90.00 90.00
Atoms (fractional coordinates):
Tb 0.250 0.000 0.097
Tb 0.750 0.000 0.903
Ce 0.000 0.000 0.500
Ce 0.500 0.000 0.500
Pm 0.250 0.295 0.810
Pm 0.250 0.705 0.810
Pm 0.750 0.295 0.190
Pm 0.750 0.705 0.190
Sm 0.250 0.500 0.339
Sm 0.750 0.500 0.661

Most intense lines, 10° ≤ 2θ ≤ 90°, most intense first:
2θ/deg	d/Å	I/Imax
29.76	3.003	100
31.60	2.832	38
34.38	2.608	27
27.78	3.211	24
47.48	1.915	20
52.83	1.733	19
54.83	1.674	16
32.44	2.760	14

(7)
The following is a calculated XRD peak list of MgCdHg3. It was derived from a crystal structure in Alexandria, relaxed with GGA-PBE, using Cu Kα (weighted mean of Kα1 and Kα2).
Lines closer than 0.1° are merged.

Structural model:
abc: 8.423 7.915 7.772
angles: 90.00 113.20 90.00
Atoms (fractional coordinates):
Mg 0.133 0.196 0.053
Mg 0.133 0.304 0.553
Mg 0.867 0.696 0.447
Mg 0.867 0.804 0.947
Cd 0.379 0.521 0.277
Cd 0.379 0.979 0.777
Cd 0.621 0.021 0.223
Cd 0.621 0.479 0.723
Hg 0.039 0.526 0.820
Hg 0.039 0.974 0.320
Hg 0.252 0.658 0.574
Hg 0.252 0.842 0.074
Hg 0.408 0.171 0.446
Hg 0.408 0.329 0.946
Hg 0.592 0.671 0.054
Hg 0.592 0.829 0.554
Hg 0.748 0.158 0.926
Hg 0.748 0.342 0.426
Hg 0.961 0.026 0.680
Hg 0.961 0.474 0.180

Most intense lines, 10° ≤ 2θ ≤ 90°, most intense first:
2θ/deg	d/Å	I/Imax
36.62	2.454	100
32.37	2.766	52
30.23	2.957	40
33.91	2.644	38
33.81	2.651	34
40.50	2.227	32
65.12	1.432	18
28.81	3.099	17

(8)
The following is a calculated XRD peak list of TiBe5V. It was derived from a crystal structure in Alexandria, relaxed with GGA-PBE, using Cu Kα (weighted mean of Kα1 and Kα2).
Lines closer than 0.1° are merged.

Structural model:
abc: 7.068 4.407 9.035
angles: 90.00 90.00 90.00
Atoms (fractional coordinates):
Ti 0.245 0.250 0.063
Ti 0.255 0.750 0.563
Ti 0.745 0.250 0.437
Ti 0.755 0.750 0.937
Be 0.064 0.750 0.118
Be 0.074 0.005 0.321
Be 0.074 0.495 0.321
Be 0.095 0.250 0.518
Be 0.179 0.250 0.748
Be 0.321 0.750 0.248
Be 0.405 0.750 0.018
Be 0.426 0.505 0.821
Be 0.426 0.995 0.821
Be 0.436 0.250 0.618
Be 0.564 0.750 0.382
Be 0.574 0.005 0.179
Be 0.574 0.495 0.179
Be 0.595 0.250 0.982
Be 0.679 0.250 0.752
Be 0.821 0.750 0.252
Be 0.905 0.750 0.482
Be 0.926 0.505 0.679
Be 0.926 0.995 0.679
Be 0.936 0.250 0.882
V 0.117 0.750 0.869
V 0.383 0.250 0.369
V 0.617 0.750 0.631
V 0.883 0.250 0.131

Most intense lines, 10° ≤ 2θ ≤ 90°, most intense first:
2θ/deg	d/Å	I/Imax
44.76	2.025	100
22.45	3.961	98
36.12	2.487	82
40.96	2.204	54
31.04	2.881	50
43.31	2.089	49
15.92	5.567	48
38.37	2.346	44

(9)
The following is a calculated XRD peak list of Ti7Ga2Rh2. It was derived from a crystal structure in Alexandria, relaxed with GGA-PBE, using Cu Kα (weighted mean of Kα1 and Kα2).
Lines closer than 0.1° are merged.

Structural model:
abc: 5.851 5.851 6.074
angles: 90.00 90.00 105.66
Atoms (fractional coordinates):
Ti 0.000 0.000 0.000
Ti 0.000 0.500 0.272
Ti 0.000 0.500 0.728
Ti 0.500 0.000 0.272
Ti 0.500 0.000 0.728
Ti 0.500 0.500 0.268
Ti 0.500 0.500 0.732
Ga 0.174 0.174 0.500
Ga 0.826 0.826 0.500
Rh 0.281 0.719 0.000
Rh 0.719 0.281 0.000

Most intense lines, 10° ≤ 2θ ≤ 90°, most intense first:
2θ/deg	d/Å	I/Imax
43.84	2.065	100
29.23	3.055	79
24.06	3.698	77
38.62	2.331	56
43.59	2.076	41
50.90	1.794	25
49.16	1.853	25
33.52	2.673	24

(10)
The following is a calculated XRD peak list of CdH6N2Cl2. It was derived from a crystal structure in Alexandria, relaxed with GGA-PBE, using Cu Kα (weighted mean of Kα1 and Kα2).
Lines closer than 0.1° are merged.

Structural model:
abc: 5.945 5.945 4.058
angles: 93.12 93.12 88.95
Atoms (fractional coordinates):
Cd 0.000 0.000 0.000
H 0.217 0.416 0.166
H 0.316 0.314 0.816
H 0.415 0.218 0.169
H 0.584 0.783 0.834
H 0.686 0.684 0.184
H 0.782 0.585 0.831
N 0.271 0.270 0.043
N 0.730 0.729 0.957
Cl 0.226 0.774 0.500
Cl 0.774 0.226 0.500

Most intense lines, 10° ≤ 2θ ≤ 90°, most intense first:
2θ/deg	d/Å	I/Imax
14.92	5.936	100
30.81	2.902	57
21.00	4.230	39
25.98	3.430	22
33.55	2.671	21
36.58	2.457	19
38.57	2.334	17
27.33	3.263	14

(11)
The following is a calculated XRD peak list of AcNd5Pd2. It was derived from a crystal structure in Alexandria, relaxed with GGA-PBE, using Cu Kα (weighted mean of Kα1 and Kα2).
Lines closer than 0.1° are merged.

Structural model:
abc: 6.872 6.872 18.943
angles: 90.00 90.00 145.88
Atoms (fractional coordinates):
Ac 0.143 0.857 0.750
Ac 0.857 0.143 0.250
Nd 0.123 0.877 0.250
Nd 0.150 0.850 0.540
Nd 0.150 0.850 0.960
Nd 0.442 0.558 0.608
Nd 0.442 0.558 0.892
Nd 0.558 0.442 0.108
Nd 0.558 0.442 0.392
Nd 0.850 0.150 0.040
Nd 0.850 0.150 0.460
Nd 0.877 0.123 0.750
Pd 0.256 0.744 0.127
Pd 0.256 0.744 0.373
Pd 0.744 0.256 0.627
Pd 0.744 0.256 0.873

Most intense lines, 10° ≤ 2θ ≤ 90°, most intense first:
2θ/deg	d/Å	I/Imax
29.89	2.990	100
33.18	2.700	97
30.13	2.966	66
33.37	2.685	44
53.90	1.701	43
27.16	3.283	36
44.96	2.016	32
30.50	2.931	30

(12)
The following is a calculated XRD peak list of SrHgPd. It was derived from a crystal structure in Alexandria, relaxed with GGA-PBE, using Cu Kα (weighted mean of Kα1 and Kα2).
Lines closer than 0.1° are merged.

Structural model:
abc: 7.765 4.422 13.248
angles: 90.00 91.54 90.00
Atoms (fractional coordinates):
Sr 0.031 0.250 0.124
Sr 0.162 0.250 0.422
Sr 0.462 0.750 0.791
Sr 0.538 0.250 0.209
Sr 0.838 0.750 0.578
Sr 0.969 0.750 0.876
Hg 0.128 0.250 0.705
Hg 0.347 0.750 0.045
Hg 0.494 0.750 0.410
Hg 0.506 0.250 0.590
Hg 0.653 0.250 0.955
Hg 0.872 0.750 0.295
Pd 0.239 0.750 0.251
Pd 0.260 0.750 0.588
Pd 0.262 0.250 0.916
Pd 0.738 0.750 0.084
Pd 0.740 0.250 0.412
Pd 0.761 0.250 0.749

Most intense lines, 10° ≤ 2θ ≤ 90°, most intense first:
2θ/deg	d/Å	I/Imax
30.65	2.917	100
33.83	2.650	79
40.82	2.211	71
31.06	2.879	49
33.31	2.690	37
36.10	2.488	34
35.15	2.553	30
21.18	4.194	29